# Nb12WO33
Theoretical powder diffractogram, copper Kα. Input: a crystal structure in Alexandria, relaxed with PBE+U.
Peak positions follow from Bragg's law for the DFT cell and can differ from measured ones.

Principal peaks in the range 10° ≤ 2θ ≤ 80°, sorted by position:
2θ = 23.48°, d = 3.788 Å, I = 93
2θ = 24.09°, d = 3.694 Å, I = 100
2θ = 24.77°, d = 3.594 Å, I = 90
2θ = 32.51°, d = 2.754 Å, I = 24
2θ = 34.82°, d = 2.576 Å, I = 35
2θ = 53.72°, d = 1.706 Å, I = 26

Atomic structure:
Cell lengths 3.8756, 11.5688, 15.3212 Å; angles 83.57, 82.81, 80.38 degrees
Positions (direct):
Nb (0.0000, 0.0000, 0.0000)
Nb (0.0151, 0.2358, 0.6677)
Nb (0.0897, 0.4692, 0.3322)
Nb (0.1671, 0.9071, 0.7606)
Nb (0.2157, 0.1411, 0.4243)
Nb (0.3420, 0.8128, 0.5195)
Nb (0.6030, 0.7523, 0.0531)
Nb (0.7081, 0.4240, 0.1484)
Nb (0.7634, 0.6580, 0.8120)
Nb (0.8234, 0.0958, 0.2404)
Nb (0.9135, 0.3293, 0.9051)
Nb (0.9367, 0.5650, 0.5726)
W (0.2151, 0.7825, 0.2863)
O (0.0133, 0.5252, 0.4429)
O (0.0330, 0.6510, 0.2747)
O (0.0740, 0.8034, 0.0532)
O (0.0881, 0.9434, 0.8821)
O (0.1122, 0.0621, 0.7116)
O (0.1378, 0.1840, 0.5362)
O (0.1609, 0.3072, 0.3684)
O (0.1857, 0.4373, 0.1830)
O (0.2439, 0.7067, 0.8056)
O (0.2605, 0.8477, 0.6361)
O (0.2871, 0.9655, 0.4647)
O (0.3121, 0.0918, 0.2771)
O (0.3789, 0.3321, 0.9174)
O (0.4194, 0.6103, 0.5574)
O (0.4344, 0.7541, 0.3860)
O (0.5050, 0.8109, 0.1867)
O (0.5158, 0.9547, 0.0153)
O (0.5499, 0.2330, 0.6553)
O (0.6112, 0.4732, 0.2955)
O (0.6456, 0.5996, 0.1079)
O (0.6741, 0.7175, 0.9365)
O (0.6880, 0.8584, 0.7670)
O (0.7396, 0.1278, 0.3896)
O (0.7668, 0.2578, 0.2042)
O (0.7876, 0.3811, 0.0364)
O (0.8170, 0.5031, 0.8610)
O (0.8450, 0.6217, 0.6905)
O (0.8638, 0.7616, 0.5195)
O (0.8905, 0.9140, 0.2979)
O (0.9131, 0.0398, 0.1298)
O (0.9414, 0.1575, 0.9592)
O (0.9637, 0.2826, 0.7863)
O (0.9920, 0.4075, 0.6135)